# 1
LiScSnPd: theoretical XRD peak list (Cu Kα X-rays), based on a structure optimized by DFT (PBE).
Kinematic intensities with the Lorentz-polarization factor, no thermal factor.

Principal peaks in the range 10 to 90 degrees two-theta, low angle first:
- 3.764 Å, rel. 51.8
- 2.305 Å, rel. 100.0
- 1.966 Å, rel. 26.8
- 1.630 Å, rel. 16.9
- 1.496 Å, rel. 11.4
- 1.331 Å, rel. 34.3
- 1.152 Å, rel. 11.0
- 1.102 Å, rel. 9.3

Structural model:
```
LiScSnPd
1.0
4.611 0.000 0.000
0.000 4.611 0.000
0.000 0.000 6.517
Li Sc Sn Pd
2 2 2 2
direct
0.000 0.500 0.248 Li
0.500 0.000 0.752 Li
0.000 0.000 0.000 Sc
0.500 0.500 0.500 Sc
0.000 0.000 0.500 Sn
0.500 0.500 0.000 Sn
0.000 0.500 0.749 Pd
0.500 0.000 0.251 Pd
```

---

# 2
KHfHg3Se4: theoretical XRD peak list (Cu Kα X-rays), based on a structure optimized by DFT (PBE).
Kinematic intensities with the Lorentz-polarization factor, no thermal factor.

Principal peaks in the range 10 to 90 degrees two-theta, low angle first:
- 7.069 Å, rel. 93.7
- 4.081 Å, rel. 62.3
- 3.534 Å, rel. 31.9
- 2.499 Å, rel. 100.0
- 2.356 Å, rel. 25.4
- 2.131 Å, rel. 31.3
- 1.960 Å, rel. 24.8
- 1.443 Å, rel. 29.0

Structural model:
```
KHfHg3Se4
1.0
7.069 0.000 0.000
0.000 7.069 0.000
0.000 0.000 7.069
K Hf Hg Se
1 1 3 4
direct
0.000 0.000 0.000 K
0.500 0.500 0.500 Hf
0.000 0.500 0.500 Hg
0.500 0.000 0.500 Hg
0.500 0.500 0.000 Hg
0.291 0.291 0.291 Se
0.291 0.709 0.709 Se
0.709 0.291 0.709 Se
0.709 0.709 0.291 Se
```

---

# 3
Dy4CBrF4: theoretical XRD peak list (Cu Kα X-rays), based on a structure optimized by DFT (PBE).
Kinematic intensities with the Lorentz-polarization factor, no thermal factor.

Principal peaks in the range 10 to 90 degrees two-theta, low angle first:
- 7.038 Å, rel. 64.2
- 3.974 Å, rel. 41.2
- 3.222 Å, rel. 28.5
- 2.872 Å, rel. 46.9
- 2.768 Å, rel. 52.3
- 2.630 Å, rel. 100.0
- 2.174 Å, rel. 34.1
- 1.799 Å, rel. 28.6

Structural model:
```
Dy4CBrF4
1.0
7.304 -1.795 0.000
7.304 1.795 0.000
-3.547 0.000 7.038
Dy C Br F
4 1 1 4
direct
0.009 0.009 0.211 Dy
0.323 0.323 0.864 Dy
0.677 0.677 0.136 Dy
0.991 0.991 0.789 Dy
0.500 0.500 0.000 C
0.500 0.500 0.500 Br
0.176 0.176 0.934 F
0.196 0.196 0.328 F
0.804 0.804 0.672 F
0.824 0.824 0.066 F
```

---

# 4
RbUTeAuSeS: theoretical XRD peak list (Cu Kα X-rays), based on a structure optimized by DFT (PBE).
Kinematic intensities with the Lorentz-polarization factor, no thermal factor.

Principal peaks in the range 10 to 90 degrees two-theta, low angle first:
- 8.089 Å, rel. 100.0
- 3.169 Å, rel. 31.4
- 2.846 Å, rel. 27.5
- 2.833 Å, rel. 25.4
- 2.774 Å, rel. 22.0
- 2.330 Å, rel. 13.7
- 2.318 Å, rel. 15.0
- 2.092 Å, rel. 12.6

Structural model:
```
RbUTeAuSeS
1.0
8.089 -2.092 0.000
8.089 2.092 0.000
-0.092 0.000 11.096
Rb U Te Au Se S
2 2 2 2 2 2
direct
0.222 0.222 0.240 Rb
0.778 0.778 0.760 Rb
0.000 0.000 0.000 U
0.000 0.000 0.500 U
0.087 0.087 0.752 Te
0.913 0.913 0.248 Te
0.472 0.472 0.748 Au
0.528 0.528 0.252 Au
0.384 0.384 0.551 Se
0.616 0.616 0.449 Se
0.397 0.397 0.944 S
0.603 0.603 0.056 S
```